Record 1
This entry pairs a crystal structure of Y7PdI12 with its computed PXRD pattern. Radiation: Cu Ka. Structure: a GGA-PBE-relaxed structure.
Kinematic intensities with the Lorentz-polarization factor, no thermal factor.

Cell and atoms:
Cell: 15.7560 15.7560 10.7035 Å, 90.00 90.00 120.00°
Space group R-3 (No. 148, hexagonal axes)
Unique sites:
Y 0.0000 0.0000 0.0000 x3
Y 0.0440 0.1591 0.3531 x18
Pd 0.0000 0.0000 0.5000 x3
I 0.0195 0.5847 0.1591 x18
I 0.0511 0.1817 0.8396 x18

Top 10 peaks for 10 to 90 degrees two-theta, sorted by position:
7.878 Å, rel. 121, hkl 1 1 0; 3.568 Å, rel. 422, hkl 4 -3 1; 3.090 Å, rel. 1000, hkl 3 1 2; 2.185 Å, rel. 717, hkl 2 5 0; 1.863 Å, rel. 224, hkl 6 2 1; 1.784 Å, rel. 238, hkl 8 -6 2; 1.545 Å, rel. 113, hkl 6 2 4; 1.418 Å, rel. 101, hkl 1 9 1; 1.382 Å, rel. 280, hkl 10 -1 2; 1.261 Å, rel. 196, hkl 9 3 0

---

Record 2
This entry pairs a crystal structure of TcHgCl with its computed PXRD pattern. Radiation: Cu Ka. Structure: a GGA-PBE-relaxed structure.
Kinematic intensities with the Lorentz-polarization factor, no thermal factor.

Cell and atoms:
Cell: 2.958 5.402 16.346 Å, 90.00 90.00 90.00°
Space group Fmm2 (No. 42)
Unique sites:
Tc 0.000 0.000 0.000 x4
Hg 0.000 0.000 0.651 x4
Cl 0.000 0.000 0.389 x4

Top 10 peaks for 10 to 90 degrees two-theta, sorted by position:
8.173 Å, rel. 1000, hkl 0 0 2; 4.086 Å, rel. 239, hkl 0 0 4; 2.724 Å, rel. 222, hkl 0 0 6; 2.701 Å, rel. 358, hkl 0 2 0; 2.563 Å, rel. 376, hkl 0 2 2; 2.343 Å, rel. 821, hkl 1 1 3; 2.032 Å, rel. 285, hkl 1 1 5; 1.918 Å, rel. 164, hkl 0 2 6; 1.488 Å, rel. 130, hkl 1 1 9; 1.480 Å, rel. 249, hkl 2 0 0

---

Record 3
This entry pairs a crystal structure of CsMgInF6 with its computed PXRD pattern. Radiation: Cu Ka. Structure: a GGA-PBE-relaxed structure.
Kinematic intensities with the Lorentz-polarization factor, no thermal factor.

Cell and atoms:
Cell: 7.503 7.847 10.776 Å, 90.00 90.00 90.00°
Space group Imma (No. 74)
Unique sites:
Cs 0.000 0.250 0.095 x4
Mg 0.250 0.250 0.750 x4
In 0.000 0.000 0.500 x4
F 0.000 0.250 0.417 x4
F 0.000 0.250 0.802 x4
F 0.206 0.065 0.621 x16

Top 10 peaks for 10 to 90 degrees two-theta, sorted by position:
5.388 Å, rel. 298, hkl 0 0 2; 3.822 Å, rel. 280, hkl 1 1 2; 3.751 Å, rel. 250, hkl 2 0 0; 3.309 Å, rel. 1000, hkl 1 2 1; 3.266 Å, rel. 246, hkl 0 1 3; 3.234 Å, rel. 424, hkl 1 0 3; 3.079 Å, rel. 272, hkl 2 0 2; 2.463 Å, rel. 203, hkl 2 1 3; 2.070 Å, rel. 282, hkl 1 0 5; 1.911 Å, rel. 328, hkl 2 2 4

---

Record 4
This entry pairs a crystal structure of BaTl8Sn4 with its computed PXRD pattern. Radiation: Cu Ka. Structure: a GGA-PBE-relaxed structure.
Kinematic intensities with the Lorentz-polarization factor, no thermal factor.

Cell and atoms:
Cell: 11.279 11.279 6.480 Å, 90.00 90.00 90.00°
Space group I4/mmm (No. 139)
Unique sites:
Ba 0.000 0.000 0.000 x2
Tl 0.000 0.211 0.500 x8
Tl 0.000 0.354 0.000 x8
Sn 0.250 0.250 0.250 x8

Top 10 peaks for 10 to 90 degrees two-theta, sorted by position:
3.252 Å, rel. 294, hkl 3 0 1; 3.240 Å, rel. 191, hkl 0 0 2; 2.818 Å, rel. 1000, hkl 4 0 0; 2.809 Å, rel. 316, hkl 2 0 2; 2.521 Å, rel. 531, hkl 4 2 0; 2.515 Å, rel. 405, hkl 2 2 2; 1.777 Å, rel. 187, hkl 3 2 3; 1.699 Å, rel. 121, hkl 5 4 1; 1.627 Å, rel. 350, hkl 6 0 2; 1.431 Å, rel. 103, hkl 5 5 2

---

Record 5
This entry pairs a crystal structure of Tl2CdInSb2 with its computed PXRD pattern. Radiation: Cu Ka. Structure: a GGA-PBE-relaxed structure.
Kinematic intensities with the Lorentz-polarization factor, no thermal factor.

Cell and atoms:
Cell: 6.891 16.038 6.851 Å, 90.00 90.00 90.00°
Space group Ibam (No. 72)
Unique sites:
Tl 0.248 0.179 0.000 x8
Cd 0.000 0.000 0.250 x4
In 0.000 0.500 0.250 x4
Sb 0.245 0.114 0.500 x8

Top 10 peaks for 10 to 90 degrees two-theta, sorted by position:
3.445 Å, rel. 263, hkl 2 0 0; 3.425 Å, rel. 259, hkl 0 0 2; 3.166 Å, rel. 512, hkl 2 2 0; 3.150 Å, rel. 506, hkl 0 2 2; 3.092 Å, rel. 1000, hkl 1 4 1; 2.613 Å, rel. 467, hkl 2 4 0; 2.604 Å, rel. 464, hkl 0 4 2; 2.429 Å, rel. 951, hkl 2 0 2; 2.342 Å, rel. 352, hkl 1 6 1; 1.914 Å, rel. 259, hkl 3 4 1

---

Record 6
This entry pairs a crystal structure of Zr5Mn with its computed PXRD pattern. Radiation: Cu Ka. Structure: a GGA-PBE-relaxed structure.
Kinematic intensities with the Lorentz-polarization factor, no thermal factor.

Cell and atoms:
Cell: 4.994 15.360 3.298 Å, 90.00 90.00 90.00°
Space group Cmmm (No. 65)
Unique sites:
Zr 0.000 0.000 0.000 x2
Zr 0.000 0.183 0.500 x4
Zr 0.000 0.368 0.000 x4
Mn 0.000 0.500 0.500 x2

Top 10 peaks for 10 to 90 degrees two-theta, sorted by position:
2.617 Å, rel. 248, hkl 1 5 0; 2.560 Å, rel. 157, hkl 0 6 0; 2.498 Å, rel. 370, hkl 2 0 0; 2.424 Å, rel. 1000, hkl 1 3 1; 1.788 Å, rel. 104, hkl 2 6 0; 1.659 Å, rel. 106, hkl 0 8 1; 1.649 Å, rel. 89, hkl 0 0 2; 1.427 Å, rel. 178, hkl 3 3 1; 1.382 Å, rel. 113, hkl 2 8 1; 1.376 Å, rel. 95, hkl 2 0 2

---

Record 7
This entry pairs a crystal structure of NaSrClF2 with its computed PXRD pattern. Radiation: Cu Ka. Structure: a GGA-PBE-relaxed structure.
Kinematic intensities with the Lorentz-polarization factor, no thermal factor.

Cell and atoms:
Cell: 4.058 4.058 12.828 Å, 90.00 90.00 90.00°
Space group I4mm (No. 107)
Unique sites:
Na 0.000 0.000 0.000 x2
Sr 0.000 0.000 0.323 x2
Cl 0.000 0.000 0.699 x2
F 0.000 0.500 0.423 x4

Top 10 peaks for 10 to 90 degrees two-theta, sorted by position:
6.414 Å, rel. 663, hkl 0 0 2; 3.869 Å, rel. 256, hkl 1 0 1; 2.944 Å, rel. 1000, hkl 1 0 3; 2.870 Å, rel. 277, hkl 1 1 0; 2.619 Å, rel. 245, hkl 1 1 2; 2.169 Å, rel. 192, hkl 1 0 5; 2.138 Å, rel. 201, hkl 1 1 4; 2.029 Å, rel. 288, hkl 2 0 0; 1.714 Å, rel. 230, hkl 1 1 6; 1.671 Å, rel. 404, hkl 2 1 3

---

Record 8
This entry pairs a crystal structure of Ac3Pr5Er2 with its computed PXRD pattern. Radiation: Cu Ka. Structure: a GGA-PBE-relaxed structure.
Kinematic intensities with the Lorentz-polarization factor, no thermal factor.

Cell and atoms:
Cell: 11.597 16.386 9.948 Å, 90.00 125.50 90.00°
Space group C2/c (No. 15)
Unique sites:
Ac 0.000 0.227 0.250 x4
Ac 0.246 0.385 0.245 x8
Pr 0.000 0.026 0.250 x4
Pr 0.000 0.274 0.750 x4
Pr 0.000 0.467 0.750 x4
Pr 0.153 0.125 0.054 x8
Er 0.148 0.386 0.549 x8

Top 10 peaks for 10 to 90 degrees two-theta, sorted by position:
4.094 Å, rel. 139, hkl 0 4 0; 4.049 Å, rel. 133, hkl 0 0 2; 3.092 Å, rel. 1000, hkl 2 4 -2; 3.077 Å, rel. 984, hkl 2 2 1; 2.899 Å, rel. 474, hkl 4 0 -2; 2.588 Å, rel. 139, hkl 0 6 1; 2.564 Å, rel. 125, hkl 0 2 3; 1.921 Å, rel. 259, hkl 0 6 3; 1.708 Å, rel. 271, hkl 6 4 -4; 1.469 Å, rel. 184, hkl 2 10 1

---

Record 9
This entry pairs a crystal structure of Mg2Ag3 with its computed PXRD pattern. Radiation: Cu Ka. Structure: a GGA-PBE-relaxed structure.
Kinematic intensities with the Lorentz-polarization factor, no thermal factor.

Cell and atoms:
Cell: 3.454 3.454 15.375 Å, 90.00 90.00 90.00°
Space group I4/mmm (No. 139)
Unique sites:
Mg 0.000 0.000 0.103 x4
Ag 0.000 0.000 0.301 x4
Ag 0.000 0.000 0.500 x2

Top 10 peaks for 10 to 90 degrees two-theta, sorted by position:
7.688 Å, rel. 90, hkl 0 0 2; 3.844 Å, rel. 115, hkl 0 0 4; 3.370 Å, rel. 388, hkl 1 0 1; 2.442 Å, rel. 602, hkl 1 1 0; 2.297 Å, rel. 1000, hkl 1 0 5; 1.727 Å, rel. 200, hkl 2 0 0; 1.537 Å, rel. 138, hkl 0 0 10; 1.380 Å, rel. 365, hkl 2 1 5; 1.301 Å, rel. 148, hkl 1 1 10; 1.148 Å, rel. 114, hkl 2 0 10

---

Record 10
This entry pairs a crystal structure of TbAl7Pd5 with its computed PXRD pattern. Radiation: Cu Ka. Structure: a GGA-PBE-relaxed structure.
Kinematic intensities with the Lorentz-polarization factor, no thermal factor.

Cell and atoms:
Cell: 5.415 9.091 8.698 Å, 90.00 90.00 90.00°
Space group Imm2 (No. 44)
Unique sites:
Tb 0.000 0.000 0.000 x2
Al 0.000 0.000 0.342 x2
Al 0.000 0.000 0.643 x2
Al 0.000 0.291 0.508 x4
Al 0.000 0.348 0.984 x4
Al 0.000 0.500 0.268 x2
Pd 0.000 0.500 0.719 x2
Pd 0.249 0.268 0.251 x8

Top 10 peaks for 10 to 90 degrees two-theta, sorted by position:
6.285 Å, rel. 428, hkl 0 1 1; 4.349 Å, rel. 525, hkl 0 0 2; 3.177 Å, rel. 479, hkl 1 1 2; 3.142 Å, rel. 646, hkl 0 2 2; 2.326 Å, rel. 1000, hkl 2 2 0; 2.299 Å, rel. 600, hkl 2 0 2; 2.273 Å, rel. 490, hkl 0 4 0; 2.260 Å, rel. 470, hkl 1 3 2; 2.175 Å, rel. 468, hkl 0 0 4; 2.051 Å, rel. 613, hkl 2 2 2

---

Record 11
This entry pairs a crystal structure of Pa3Tc2Os with its computed PXRD pattern. Radiation: Cu Ka. Structure: a GGA-PBE-relaxed structure.
Kinematic intensities with the Lorentz-polarization factor, no thermal factor.

Cell and atoms:
Cell: 5.193 14.684 3.235 Å, 90.00 90.00 90.00°
Space group Pmmn (No. 59, origin choice 2)
Unique sites:
Pa 0.250 0.084 0.143 x4
Pa 0.250 0.750 0.890 x2
Tc 0.250 0.588 0.558 x4
Os 0.250 0.250 0.709 x2

Top 10 peaks for 10 to 90 degrees two-theta, sorted by position:
3.562 Å, rel. 241, hkl 1 3 0; 2.699 Å, rel. 310, hkl 0 3 1; 2.597 Å, rel. 745, hkl 2 0 0; 2.572 Å, rel. 551, hkl 1 2 1; 2.447 Å, rel. 640, hkl 0 6 0; 2.395 Å, rel. 1000, hkl 1 3 1; 2.199 Å, rel. 360, hkl 1 4 1; 1.871 Å, rel. 215, hkl 2 3 1; 1.781 Å, rel. 490, hkl 2 6 0; 1.457 Å, rel. 281, hkl 3 3 1

---

Record 12
This entry pairs a crystal structure of CeIn3Cu4Se8 with its computed PXRD pattern. Radiation: Cu Ka. Structure: a GGA-PBE-relaxed structure.
Kinematic intensities with the Lorentz-polarization factor, no thermal factor.

Cell and atoms:
Cell: 5.906 5.906 12.051 Å, 90.00 90.00 90.00°
Space group P-4 (No. 81)
Unique sites:
Ce 0.000 0.000 0.000 x1
In 0.000 0.500 0.259 x2
In 0.500 0.500 0.500 x1
Cu 0.000 0.000 0.500 x1
Cu 0.000 0.500 0.745 x2
Cu 0.500 0.500 0.000 x1
Se 0.216 0.250 0.621 x4
Se 0.266 0.708 0.864 x4

Top 10 peaks for 10 to 90 degrees two-theta, sorted by position:
3.432 Å, rel. 1000, hkl 1 1 2; 2.580 Å, rel. 70, hkl 1 2 1; 2.109 Å, rel. 481, hkl 2 0 4; 2.088 Å, rel. 231, hkl 2 2 0; 1.810 Å, rel. 150, hkl 1 1 6; 1.784 Å, rel. 274, hkl 3 1 2; 1.477 Å, rel. 67, hkl 4 0 0; 1.368 Å, rel. 103, hkl 1 3 6; 1.222 Å, rel. 68, hkl 2 2 8; 1.210 Å, rel. 122, hkl 4 2 4